1.
The following is a computed powder X-ray diffraction pattern of HfZrRh4. It was derived from a crystal structure in Alexandria, relaxed with PBE, using CuKα.
No peak broadening, texture or thermal motion is included.

Principal peaks in the range 10° ≤ 2θ ≤ 90°, in order of falling intensity:
hkl  d/Å  I (rel.)
1 1 2  2.161  1000
1 0 1  3.524  580
2 0 0  2.151  494
3 1 2  1.244  328
2 1 1  1.836  184
2 0 4  1.250  166
2 2 0  1.521  162
1 0 3  1.848  94
0 0 4  1.535  83
2 1 3  1.402  75

```
data_HfZrRh4
_space_group_name_H-M_alt 'P 4/m m m'
_space_group_IT_number 123
_space_group_name_Hall '-P 4 2'
_cell_length_a 4.302
_cell_length_b 4.302
_cell_length_c 6.141
_cell_angle_alpha 90.00
_cell_angle_beta 90.00
_cell_angle_gamma 90.00
loop_
_atom_site_label
_atom_site_type_symbol
_atom_site_fract_x
_atom_site_fract_y
_atom_site_fract_z
Hf1 Hf 0.000 0.000 0.000
Zr1 Zr 0.500 0.500 0.500
Rh1 Rh 0.000 0.500 0.247
```



2.
The following is a computed powder X-ray diffraction pattern of Li7Zn2Pd2. It was derived from a crystal structure in Alexandria, relaxed with PBE, using CuKα.
No peak broadening, texture or thermal motion is included.

Principal peaks in the range 10° ≤ 2θ ≤ 90°, in order of falling intensity:
hkl  d/Å  I (rel.)
1 1 0  5.054  1000
1 3 1  2.217  773
2 0 -1  3.304  382
0 0 3  2.181  334
0 2 1  3.365  284
1 3 -2  2.045  207
1 1 1  3.674  178
1 1 -3  2.161  140
2 0 2  2.079  124
0 2 2  2.514  102

```
data_Li7Zn2Pd2
_space_group_name_H-M_alt 'C 1 2/m 1'
_space_group_IT_number 12
_space_group_name_Hall '-C 2y'
_cell_length_a 6.829
_cell_length_b 7.845
_cell_length_c 6.768
_cell_angle_alpha 90.00
_cell_angle_beta 104.58
_cell_angle_gamma 90.00
loop_
_atom_site_label
_atom_site_type_symbol
_atom_site_fract_x
_atom_site_fract_y
_atom_site_fract_z
Li1 Li 0.000 0.000 0.000
Li2 Li 0.162 0.000 0.426
Li3 Li 0.213 0.304 0.183
Zn1 Zn 0.000 0.316 0.500
Pd1 Pd 0.098 0.500 0.836
```



3.
The following is a computed powder X-ray diffraction pattern of LaSbPdI2. It was derived from a crystal structure in Alexandria, relaxed with PBE, using CuKα.
No peak broadening, texture or thermal motion is included.

Principal peaks in the range 10° ≤ 2θ ≤ 90°, in order of falling intensity:
hkl  d/Å  I (rel.)
1 1 1  3.127  1000
2 0 0  2.668  774
2 0 2  1.930  593
0 0 2  2.796  440
2 2 2  1.564  299
3 1 1  1.615  281
2 2 0  1.886  276
4 2 2  1.097  196
1 0 1  3.860  166
1 1 3  1.671  157

```
data_LaSbPdI2
_space_group_name_H-M_alt 'P 4/m m m'
_space_group_IT_number 123
_space_group_name_Hall '-P 4 2'
_cell_length_a 5.335
_cell_length_b 5.335
_cell_length_c 5.591
_cell_angle_alpha 90.00
_cell_angle_beta 90.00
_cell_angle_gamma 90.00
loop_
_atom_site_label
_atom_site_type_symbol
_atom_site_fract_x
_atom_site_fract_y
_atom_site_fract_z
La1 La 0.000 0.000 0.000
Sb1 Sb 0.500 0.500 0.000
Pd1 Pd 0.500 0.500 0.500
I1 I 0.000 0.500 0.500
```



4.
The following is a computed powder X-ray diffraction pattern of Ca3Cu8Rh. It was derived from a crystal structure in Alexandria, relaxed with PBE, using CuKα.
No peak broadening, texture or thermal motion is included.

Principal peaks in the range 10° ≤ 2θ ≤ 90°, in order of falling intensity:
hkl  d/Å  I (rel.)
1 1 6  2.192  1000
0 2 4  2.093  642
2 0 2  2.184  475
1 0 10  2.209  432
0 0 12  2.123  266
2 2 0  1.280  239
0 1 2  4.187  239
1 1 0  2.559  214
0 3 6  1.396  214
0 2 16  1.293  199

```
data_Ca3Cu8Rh
_space_group_name_H-M_alt 'R 3 m'
_space_group_IT_number 160
_space_group_name_Hall 'R 3 -2"'
_cell_length_a 5.1187
_cell_length_b 5.1187
_cell_length_c 25.4733
_cell_angle_alpha 90.00
_cell_angle_beta 90.00
_cell_angle_gamma 120.00
loop_
_atom_site_label
_atom_site_type_symbol
_atom_site_fract_x
_atom_site_fract_y
_atom_site_fract_z
Ca1 Ca 0.0000 0.0000 0.0000
Ca2 Ca 0.0000 0.0000 0.1304
Ca3 Ca 0.0000 0.0000 0.6105
Cu1 Cu 0.0000 0.0000 0.3111
Cu2 Cu 0.0000 0.0000 0.8112
Cu3 Cu 0.0024 0.5012 0.0636
Cu4 Cu 0.0032 0.5016 0.5586
Rh1 Rh 0.0000 0.0000 0.4905
```